Theoretical XRD peak list of Ce6PuHg2N for λ = 1.5418 Å (Cu Kα), from a GGA-PBE-relaxed structure.
No peak broadening, texture or thermal motion is included.

Peak list (10 most intense, 2θ from 10° to 80°, by angle)
| 2theta | d (Å) | intensity | h k l |
| --- | --- | --- | --- |
| 15.5 | 5.715 | 24.5 | 1 1 1 |
| 25.5 | 3.499 | 30.4 | 2 2 0 |
| 29.9 | 2.984 | 13.9 | 3 1 1 |
| 31.3 | 2.857 | 88.0 | 2 2 2 |
| 36.3 | 2.475 | 100.0 | 4 0 0 |
| 44.9 | 2.020 | 14.0 | 4 2 2 |
| 52.3 | 1.750 | 70.7 | 4 4 0 |
| 62.2 | 1.492 | 37.1 | 6 2 2 |
| 65.3 | 1.429 | 24.1 | 4 4 4 |
| 77.1 | 1.237 | 11.3 | 8 0 0 |

Crystal structure
```
data_Ce6PuHg2N
_space_group_name_H-M_alt 'F m -3 m'
_space_group_IT_number 225
_space_group_name_Hall '-F 4 2 3'
_cell_length_a 9.8981
_cell_length_b 9.8981
_cell_length_c 9.8981
_cell_angle_alpha 90.00
_cell_angle_beta 90.00
_cell_angle_gamma 90.00
loop_
_atom_site_label
_atom_site_fract_x
_atom_site_fract_y
_atom_site_fract_z
Ce1 0.0000 0.0000 0.2479
Pu1 0.0000 0.0000 0.0000
Hg1 0.2500 0.2500 0.2500
N1 0.0000 0.0000 0.5000
```